Record 1
For NpNiBi2O6, the PBE+U geometry in Alexandria gives the theoretical powder diffractogram in this record (Cu Kα).
No peak broadening, texture or thermal motion is included.

Peak list (10 most intense, 15° ≤ 2θ ≤ 90°, in order of falling intensity)
2θ = 29.9°, rel. 100.0
2θ = 31.6°, rel. 89.4
2θ = 31.4°, rel. 47.6
2θ = 56.0°, rel. 42.4
2θ = 43.0°, rel. 42.0
2θ = 28.7°, rel. 40.8
2θ = 33.9°, rel. 38.1
2θ = 18.7°, rel. 32.5
2θ = 19.1°, rel. 21.2
2θ = 45.1°, rel. 20.2

a b c (Å): 9.7963 5.7008 6.2490
angles (deg): 90.00 124.83 90.00
Space group C2/m (No. 12)
Inequivalent atoms, fractional coordinates:
1 Np 0.0000 0.0000 0.0000 (multiplicity 2)
2 Ni 0.0000 0.5000 0.5000 (multiplicity 2)
3 Bi 0.2455 0.0000 0.6901 (multiplicity 4)
4 O 0.0752 0.2539 0.3422 (multiplicity 8)
5 O 0.2428 0.0000 0.1471 (multiplicity 4)

---

Record 2
For Ni4BiO8, the PBE+U geometry in Alexandria gives the theoretical powder diffractogram in this record (Cu Kα).
No peak broadening, texture or thermal motion is included.

Peak list (10 most intense, 15° ≤ 2θ ≤ 90°, in order of falling intensity)
2θ = 18.4°, rel. 100.0
2θ = 42.6°, rel. 87.4
2θ = 20.9°, rel. 68.3
2θ = 37.3°, rel. 44.3
2θ = 35.2°, rel. 34.8
2θ = 28.9°, rel. 29.1
2θ = 30.6°, rel. 27.2
2θ = 59.9°, rel. 26.8
2θ = 63.6°, rel. 24.3
2θ = 33.8°, rel. 22.9

a b c (Å): 5.8496 5.8496 15.5789
angles (deg): 90.00 90.00 120.00
Space group R-3 (No. 148, hexagonal axes)
Inequivalent atoms, fractional coordinates:
1 Ni 0.0000 0.0000 0.0000 (multiplicity 3)
2 Ni 0.0000 0.5000 0.0000 (multiplicity 9)
3 Bi 0.0000 0.0000 0.5000 (multiplicity 3)
4 O 0.0000 0.0000 0.2766 (multiplicity 6)
5 O 0.0126 0.4853 0.2608 (multiplicity 18)

---

Record 3
For NiBiO3, the PBE+U geometry in Alexandria gives the theoretical powder diffractogram in this record (Cu Kα).
No peak broadening, texture or thermal motion is included.

Peak list (10 most intense, 15° ≤ 2θ ≤ 90°, in order of falling intensity)
2θ = 27.7°, rel. 100.0
2θ = 17.3°, rel. 69.6
2θ = 31.2°, rel. 67.4
2θ = 32.4°, rel. 50.9
2θ = 30.6°, rel. 49.3
2θ = 31.5°, rel. 38.8
2θ = 38.9°, rel. 37.0
2θ = 34.9°, rel. 36.8
2θ = 23.7°, rel. 33.5
2θ = 40.9°, rel. 33.1

a b c (Å): 6.0308 3.2739 6.7660
angles (deg): 90.00 107.85 90.00
Space group P2 (No. 3)
Inequivalent atoms, fractional coordinates:
1 Ni 0.0000 0.0000 0.0000 (multiplicity 1)
2 Ni 0.5000 0.0664 0.5000 (multiplicity 1)
3 Bi 0.0000 0.5482 0.5000 (multiplicity 1)
4 Bi 0.5000 0.8411 0.0000 (multiplicity 1)
5 O 0.1131 0.0454 0.3335 (multiplicity 2)
6 O 0.2023 0.4910 0.9902 (multiplicity 2)
7 O 0.3843 0.5753 0.6500 (multiplicity 2)

---

Record 4
For Ti3NiBi2Pb2O12, the PBE+U geometry in Alexandria gives the theoretical powder diffractogram in this record (Cu Kα).
No peak broadening, texture or thermal motion is included.

Peak list (10 most intense, 15° ≤ 2θ ≤ 90°, in order of falling intensity)
2θ = 30.0°, rel. 100.0
2θ = 18.9°, rel. 61.9
2θ = 23.1°, rel. 57.9
2θ = 29.7°, rel. 52.6
2θ = 30.3°, rel. 50.8
2θ = 47.2°, rel. 41.1
2θ = 33.1°, rel. 38.5
2θ = 32.7°, rel. 36.9
2θ = 38.3°, rel. 22.5
2θ = 45.3°, rel. 19.5

a b c (Å): 5.4763 6.0197 9.8053
angles (deg): 82.72 74.25 63.57
Space group P1 (No. 1)
Inequivalent atoms, fractional coordinates:
1 Ti 0.0000 0.0000 0.0000 (multiplicity 1)
2 Ti 0.0166 0.4916 0.4975 (multiplicity 1)
3 Ti 0.5028 0.7464 0.2470 (multiplicity 1)
4 Ni 0.4907 0.2347 0.7570 (multiplicity 1)
5 Bi 0.3396 0.8103 0.6146 (multiplicity 1)
6 Bi 0.7955 0.5561 0.8397 (multiplicity 1)
7 Pb 0.2844 0.3340 0.1062 (multiplicity 1)
8 Pb 0.7896 0.0768 0.3641 (multiplicity 1)
9 O 0.1671 0.2220 0.9145 (multiplicity 1)
10 O 0.1736 0.4522 0.6572 (multiplicity 1)
11 O 0.1951 0.7313 0.8915 (multiplicity 1)
12 O 0.1996 0.1973 0.4166 (multiplicity 1)
13 O 0.1999 0.6908 0.3986 (multiplicity 1)
14 O 0.2009 0.9506 0.1534 (multiplicity 1)
15 O 0.6488 0.9088 0.6644 (multiplicity 1)
16 O 0.6838 0.6954 0.4102 (multiplicity 1)
17 O 0.6891 0.4641 0.1583 (multiplicity 1)
18 O 0.6917 0.4486 0.6532 (multiplicity 1)
19 O 0.6957 0.2114 0.9095 (multiplicity 1)
20 O 0.7062 0.9451 0.1559 (multiplicity 1)

---

Record 5
For SrPrNiBiO6, the PBE+U geometry in Alexandria gives the theoretical powder diffractogram in this record (Cu Kα).
No peak broadening, texture or thermal motion is included.

Peak list (10 most intense, 15° ≤ 2θ ≤ 90°, in order of falling intensity)
2θ = 30.9°, rel. 100.0
2θ = 55.0°, rel. 40.6
2θ = 44.3°, rel. 30.1
2θ = 89.7°, rel. 22.2
2θ = 18.8°, rel. 21.3
2θ = 64.5°, rel. 18.7
2θ = 73.2°, rel. 17.7
2θ = 36.4°, rel. 13.7
2θ = 48.5°, rel. 6.6
2θ = 81.6°, rel. 6.3

a b c (Å): 8.1775 8.1775 8.1775
angles (deg): 90.00 90.00 90.00
Space group F-43m (No. 216)
Inequivalent atoms, fractional coordinates:
1 Sr 0.0000 0.0000 0.0000 (multiplicity 4)
2 Pr 0.0000 0.0000 0.5000 (multiplicity 4)
3 Ni 0.2500 0.2500 0.2500 (multiplicity 4)
4 Bi 0.2500 0.2500 0.7500 (multiplicity 4)
5 O 0.0043 0.2500 0.2500 (multiplicity 24)

---

Record 6
For NiBiPtO6, the PBE+U geometry in Alexandria gives the theoretical powder diffractogram in this record (Cu Kα).
No peak broadening, texture or thermal motion is included.

Peak list (10 most intense, 15° ≤ 2θ ≤ 90°, in order of falling intensity)
2θ = 26.5°, rel. 100.0
2θ = 33.5°, rel. 88.7
2θ = 51.4°, rel. 68.7
2θ = 20.8°, rel. 26.8
2θ = 37.8°, rel. 26.6
2θ = 65.6°, rel. 19.6
2θ = 63.9°, rel. 17.0
2θ = 61.7°, rel. 16.4
2θ = 54.6°, rel. 15.9
2θ = 78.3°, rel. 15.3

a b c (Å): 4.7557 4.7557 9.7031
angles (deg): 90.00 90.00 90.00
Space group P4_2nm (No. 102)
Inequivalent atoms, fractional coordinates:
1 Ni 0.0000 0.0000 0.0000 (multiplicity 2)
2 Bi 0.0000 0.0000 0.6684 (multiplicity 2)
3 Pt 0.0000 0.0000 0.3348 (multiplicity 2)
4 O 0.1800 0.1800 0.1704 (multiplicity 4)
5 O 0.1946 0.1946 0.4894 (multiplicity 4)
6 O 0.2047 0.2047 0.8416 (multiplicity 4)